The following is a simulated X-ray powder pattern of Sr2CoO4. It was derived from a DFT-relaxed cell (PBE+U, OQMD), using λ = 1.5418 Å (Cu Kα).
Kinematic intensities with the Lorentz-polarization factor, no thermal factor.

Cell and atoms:
```
Sr2CoO4
1.0
6.0548 0.0000 0.0000
0.0000 9.3301 0.0000
0.0000 0.0000 3.3859
Sr Co O
4 2 8
Direct
0.0917 0.1801 0.0000
0.4083 0.6801 0.0000
0.5917 0.3199 0.0000
0.9083 0.8199 0.0000
0.0000 0.5000 0.5000
0.5000 0.0000 0.5000
0.1111 0.6761 0.5000
0.2143 0.4441 0.0000
0.2857 0.9441 0.0000
0.3889 0.1761 0.5000
0.6111 0.8239 0.5000
0.7143 0.0559 0.0000
0.7857 0.5559 0.0000
0.8889 0.3239 0.5000
```

Peak list (12 most intense, 5 to 70 degrees two-theta, low angle first)
| d_spacing | I (rel.) |
| --- | --- |
| 3.695 | 29 |
| 3.386 | 31 |
| 2.880 | 46 |
| 2.817 | 100 |
| 2.766 | 95 |
| 2.740 | 46 |
| 2.194 | 92 |
| 2.177 | 29 |
| 2.142 | 32 |
| 2.032 | 36 |
| 1.693 | 28 |
| 1.578 | 39 |